Structure and simulated PXRD pattern of Rb3Er3WO8 (a PBE+U-relaxed structure; Cu Kα (weighted mean of Kα1 and Kα2)).
Kinematic intensities with the Lorentz-polarization factor, no thermal factor.

Top 6 peaks for 15 to 90 degrees two-theta, by angle:
- d = 3.299 Å, rel. 73.1
- d = 2.835 Å, rel. 42.1
- d = 2.818 Å, rel. 82.6
- d = 2.542 Å, rel. 51.2
- d = 2.526 Å, rel. 100.0
- d = 1.893 Å, rel. 36.6

Crystal structure
```
Rb3Er3WO8
1.0
5.9200 -3.3859 0.0000
5.9200 3.3859 0.0000
-3.9381 0.0000 6.5977
Rb Er W O
3 3 1 8
direct
0.0000 0.0000 0.0000
0.0000 0.5000 0.0000
0.5000 0.0000 0.0000
0.0000 0.5000 0.5000
0.5000 0.0000 0.5000
0.5000 0.5000 0.5000
0.0000 0.0000 0.5000
0.2082 0.7445 0.6626
0.2153 0.2153 0.6649
0.2555 0.7918 0.3374
0.2780 0.2780 0.3304
0.7220 0.7220 0.6696
0.7445 0.2082 0.6626
0.7847 0.7847 0.3351
0.7918 0.2555 0.3374
```